Theoretical X-ray powder pattern
Compound: Li5VP2O8F2
Radiation: Cu Kα, 1.54184 Å
Structure: a PBE+U-relaxed structure
No peak broadening, texture or thermal motion is included.

Crystal structure
```
data_Li5VP2O8F2
_chemical_formula_sum 'Li15 V3 P6 O24 F6'
_cell_length_a 9.9787
_cell_length_b 9.9787
_cell_length_c 6.8354
_cell_angle_alpha 90.00
_cell_angle_beta 90.00
_cell_angle_gamma 120.00
_space_group_name_H-M_alt 'P 3'
_space_group_IT_number 143
_space_group_name_Hall 'P 3'
loop_
_atom_site_label
_atom_site_type_symbol
_atom_site_fract_x
_atom_site_fract_y
_atom_site_fract_z
Li1 Li 0.0000 0.0000 0.0000
Li2 Li 0.0000 0.0000 0.3949
Li3 Li 0.0113 0.5143 0.7309
Li4 Li 0.1615 0.8258 0.9174
Li5 Li 0.3178 0.1484 0.1583
Li6 Li 0.3333 0.6667 0.4955
Li7 Li 0.3333 0.6667 0.9019
Li8 Li 0.6667 0.3333 0.2006
Li9 Li 0.6667 0.3333 0.6808
V1 V 0.1646 0.3329 0.4417
P1 P 0.0378 0.5285 0.1872
P2 P 0.2939 0.1384 0.7032
O1 O 0.0031 0.7119 0.6691
O2 O 0.0401 0.3749 0.2271
O3 O 0.1176 0.6023 0.9909
O4 O 0.1405 0.6381 0.3564
O5 O 0.1929 0.0305 0.5325
O6 O 0.2146 0.0605 0.8978
O7 O 0.4605 0.1680 0.6959
O8 O 0.4979 0.3703 0.1924
F1 F 0.0327 0.8494 0.2257
F2 F 0.1800 0.4804 0.6650
```

Top 6 peaks for 5 to 70 degrees two-theta, by angle:
d = 8.642 Å, 2θ 10.24, I = 43, (1 0 0); d = 6.835 Å, 2θ 12.95, I = 23, (0 0 1); d = 5.361 Å, 2θ 16.54, I = 24, (1 0 1); d = 3.652 Å, 2θ 24.37, I = 100, (0 2 1); d = 2.681 Å, 2θ 33.43, I = 24, (0 2 2); d = 2.343 Å, 2θ 38.41, I = 32, (4 -2 1)